# 1
The following is a calculated powder diffraction line list of Cs2NaBiBr6. It was derived from a cell relaxed with GGA-PBE, using copper Kα.
Neutral-atom scattering factors, no anomalous dispersion.

Crystal structure
```
10
Lattice="0.000 5.825 5.825 5.825 0.000 5.825 5.825 5.825 0.000" Properties=species:S:1:pos:R:3 pbc="T T T"
Cs 2.913 2.913 2.913
Cs 8.738 8.738 8.738
Na 0.000 0.000 0.000
Bi 5.825 5.825 5.825
Br 5.825 5.825 2.953
Br 5.825 2.953 5.825
Br 8.698 5.825 5.825
Br 2.953 5.825 5.825
Br 5.825 8.698 5.825
Br 5.825 5.825 8.698
```

The 12 most intense peaks (2θ = 15–90°), sorted by position:
- 2θ 21.57, intensity 52
- 2θ 25.36, intensity 21
- 2θ 26.50, intensity 56
- 2θ 30.70, intensity 100
- 2θ 37.83, intensity 25
- 2θ 43.97, intensity 73
- 2θ 52.07, intensity 24
- 2θ 54.58, intensity 26
- 2θ 59.36, intensity 14
- 2θ 63.93, intensity 12
- 2θ 72.58, intensity 33
- 2θ 80.84, intensity 25

---

# 2
The following is a calculated powder diffraction line list of Er2Pa2O5. It was derived from a cell relaxed with GGA-PBE, using copper Kα.
Neutral-atom scattering factors, no anomalous dispersion.

Crystal structure
```
9
Lattice="4.094 0.000 0.000 0.000 4.094 0.000 0.000 0.000 9.827" Properties=species:S:1:pos:R:3 pbc="T T T"
Er 0.000 0.000 0.000
Er 0.000 0.000 4.913
Pa 2.047 2.047 2.228
Pa 2.047 2.047 7.599
O 0.000 2.047 1.490
O 0.000 2.047 8.337
O 2.047 0.000 1.490
O 2.047 0.000 8.337
O 2.047 2.047 0.000
```

The 12 most intense peaks (2θ = 15–90°), sorted by position:
- 2θ 28.38, intensity 100
- 2θ 30.89, intensity 39
- 2θ 36.58, intensity 10
- 2θ 44.25, intensity 20
- 2θ 48.61, intensity 25
- 2θ 53.40, intensity 36
- 2θ 58.71, intensity 11
- 2θ 60.92, intensity 8
- 2θ 71.79, intensity 8
- 2θ 78.33, intensity 8
- 2θ 84.61, intensity 10
- 2θ 88.34, intensity 9

---

# 3
The following is a calculated powder diffraction line list of Na2AlP4O14. It was derived from a cell relaxed with GGA-PBE, using copper Kα.
Neutral-atom scattering factors, no anomalous dispersion.

Crystal structure
```
21
Lattice="4.953 0.000 0.000 1.201 7.453 0.000 1.255 3.238 7.591" Properties=species:S:1:pos:R:3 pbc="T T T"
Na 1.096 2.773 1.600
Na 6.313 7.919 5.991
Al 1.228 5.346 3.795
P 2.420 2.935 5.527
P 3.688 5.612 5.804
P 3.721 5.080 1.787
P 4.989 7.756 2.064
O 2.779 9.763 6.645
O 1.610 3.591 4.419
O 2.268 4.958 2.213
O 2.703 6.055 4.712
O 3.368 6.399 7.083
O 3.421 4.047 6.130
O 2.944 1.516 2.457
O 4.465 9.176 5.133
O 3.988 6.645 1.460
O 4.041 4.292 0.507
O 4.706 4.636 2.878
O 5.141 5.734 5.378
O 5.799 7.101 3.172
O 4.630 0.929 0.945
```

The 12 most intense peaks (2θ = 15–90°), sorted by position:
- 2θ 21.21, intensity 19
- 2θ 22.62, intensity 50
- 2θ 23.46, intensity 100
- 2θ 25.99, intensity 33
- 2θ 27.41, intensity 23
- 2θ 27.69, intensity 48
- 2θ 27.83, intensity 75
- 2θ 30.06, intensity 22
- 2θ 30.91, intensity 30
- 2θ 36.45, intensity 19
- 2θ 39.94, intensity 21
- 2θ 41.58, intensity 18

---

# 4
The following is a calculated powder diffraction line list of Fe2P. It was derived from a cell relaxed with GGA-PBE, using copper Kα.
Neutral-atom scattering factors, no anomalous dispersion.

Crystal structure
```
9
Lattice="5.811 0.000 0.000 -2.906 5.033 0.000 0.000 0.000 3.431" Properties=species:S:1:pos:R:3 pbc="T T T"
Fe -0.745 1.291 0.000
Fe -1.719 2.977 1.715
Fe 1.491 0.000 0.000
Fe 1.187 2.056 1.715
Fe 3.438 0.000 1.715
Fe 2.160 3.741 0.000
P 0.000 0.000 1.715
P 0.000 3.355 0.000
P 2.906 1.678 0.000
```

The 12 most intense peaks (2θ = 15–90°), sorted by position:
- 2θ 30.77, intensity 4
- 2θ 40.69, intensity 100
- 2θ 44.66, intensity 64
- 2θ 47.82, intensity 43
- 2θ 53.42, intensity 23
- 2θ 54.72, intensity 19
- 2θ 55.22, intensity 14
- 2θ 67.05, intensity 7
- 2θ 73.21, intensity 11
- 2θ 74.48, intensity 20
- 2θ 80.00, intensity 12
- 2θ 89.58, intensity 19

---

# 5
The following is a calculated powder diffraction line list of LiHf8N8O4. It was derived from a cell relaxed with GGA-PBE, using copper Kα.
Neutral-atom scattering factors, no anomalous dispersion.

Crystal structure
```
21
Lattice="5.798 0.000 0.000 2.856 5.089 0.000 0.072 0.128 9.194" Properties=species:S:1:pos:R:3 pbc="T T T"
Li 0.000 0.000 0.000
Hf 2.924 1.724 8.814
Hf 3.807 3.251 5.401
Hf 3.798 3.203 2.210
Hf 6.639 5.034 2.751
Hf 5.804 3.485 8.804
Hf 6.706 5.071 5.605
Hf 6.666 1.766 3.035
Hf 6.756 1.801 6.288
N 2.668 1.469 1.826
N 3.754 3.334 0.093
N 3.041 1.729 6.601
N 4.624 1.793 4.044
N 5.617 3.552 6.601
N 5.884 3.248 1.824
N 6.725 1.728 8.382
N 7.560 3.200 4.349
O 2.830 5.037 2.163
O 2.882 5.076 6.165
O 4.973 4.985 4.174
O 6.883 5.154 8.859
```

The 12 most intense peaks (2θ = 15–90°), sorted by position:
- 2θ 29.14, intensity 100
- 2θ 30.42, intensity 57
- 2θ 30.65, intensity 51
- 2θ 30.85, intensity 61
- 2θ 32.05, intensity 58
- 2θ 32.33, intensity 57
- 2θ 36.47, intensity 45
- 2θ 36.77, intensity 36
- 2θ 42.79, intensity 36
- 2θ 43.14, intensity 36
- 2θ 54.44, intensity 33
- 2θ 62.93, intensity 35

---

# 6
The following is a calculated powder diffraction line list of CdC7S3N4. It was derived from a cell relaxed with GGA-PBE, using copper Kα.
Neutral-atom scattering factors, no anomalous dispersion.

Crystal structure
```
60
Lattice="10.761 0.000 0.000 0.000 14.051 0.000 0.000 0.000 9.557" Properties=species:S:1:pos:R:3 pbc="T T T"
Cd 0.833 3.081 0.000
Cd 4.548 10.107 4.779
Cd 6.213 3.945 0.000
Cd 9.928 10.970 4.779
C 0.888 8.615 0.829
C 1.430 7.845 8.814
C 1.589 8.596 4.805
C 2.046 7.697 0.608
C 2.072 11.512 6.565
C 2.101 11.590 3.110
C 2.535 9.026 0.122
C 2.846 2.000 4.901
C 3.279 4.564 7.889
C 3.309 4.486 1.786
C 3.334 0.671 5.386
C 3.791 1.570 0.026
C 3.950 0.819 4.035
C 4.493 1.589 5.608
C 6.268 12.462 0.829
C 6.811 13.232 8.814
C 6.969 12.481 4.805
C 7.427 13.380 0.608
C 7.452 9.565 6.565
C 7.482 9.487 3.110
C 7.915 12.051 0.122
C 8.226 5.025 4.901
C 8.659 2.462 7.889
C 8.689 2.540 1.786
C 8.714 6.355 5.386
C 9.172 5.455 0.026
C 9.330 6.207 4.035
C 9.873 5.436 5.608
S 0.627 12.203 6.868
S 0.699 12.406 2.935
S 2.384 0.741 0.042
S 2.997 7.767 4.821
S 4.681 5.380 7.714
S 4.753 5.178 2.089
S 6.008 8.874 6.868
S 6.080 8.671 2.935
S 7.764 6.285 0.042
S 8.377 13.310 4.821
S 10.061 1.645 7.714
S 10.133 1.848 2.089
N 0.572 9.194 4.796
N 1.193 9.284 9.100
N 2.259 3.981 1.573
N 2.264 3.970 8.003
N 3.117 10.995 3.224
N 3.121 11.007 6.352
N 4.187 2.258 4.321
N 4.808 2.169 0.017
N 5.953 11.882 4.796
N 6.573 11.793 9.100
N 7.639 3.044 1.573
N 7.644 3.056 8.003
N 8.497 10.082 3.224
N 8.502 10.070 6.352
N 9.568 4.767 4.321
N 10.188 4.857 0.017
```

The 12 most intense peaks (2θ = 15–90°), sorted by position:
- 2θ 17.70, intensity 65
- 2θ 18.57, intensity 55
- 2θ 18.93, intensity 79
- 2θ 19.96, intensity 31
- 2θ 21.12, intensity 34
- 2θ 22.80, intensity 37
- 2θ 23.99, intensity 100
- 2θ 25.21, intensity 67
- 2θ 25.72, intensity 51
- 2θ 28.02, intensity 55
- 2θ 38.06, intensity 57
- 2θ 40.57, intensity 35

---

# 7
The following is a calculated powder diffraction line list of K2InAuCl6. It was derived from a cell relaxed with GGA-PBE, using copper Kα.
Neutral-atom scattering factors, no anomalous dispersion.

Crystal structure
```
10
Lattice="0.000 5.251 5.251 5.251 0.000 5.251 5.251 5.251 0.000" Properties=species:S:1:pos:R:3 pbc="T T T"
K 2.626 2.626 2.626
K 7.877 7.877 7.877
In 0.000 0.000 0.000
Au 5.251 5.251 5.251
Cl 5.251 5.251 2.562
Cl 5.251 2.562 5.251
Cl 7.940 5.251 5.251
Cl 2.562 5.251 5.251
Cl 5.251 7.940 5.251
Cl 5.251 5.251 7.940
```

The 12 most intense peaks (2θ = 15–90°), sorted by position:
- 2θ 16.88, intensity 100
- 2θ 23.97, intensity 99
- 2θ 34.15, intensity 71
- 2θ 38.33, intensity 52
- 2θ 42.15, intensity 45
- 2θ 49.07, intensity 48
- 2θ 52.26, intensity 27
- 2θ 55.32, intensity 21
- 2θ 61.14, intensity 16
- 2θ 66.64, intensity 23
- 2θ 74.50, intensity 15
- 2θ 82.07, intensity 20